Simulated powder diffraction line list
Compound: ZnGeO6F6
Radiation: Cu Kα X-rays
Structure: a DFT-relaxed cell (GGA-PBE, the Materials Project)
Intensities are scaled so that the largest is 100.

Crystal structure
a b c (Å): 5.7212 5.7212 5.7212
angles (deg): 94.44 94.44 94.44
Positions (direct):
1 Zn 0.0000 0.0000 0.0000
2 Ge 0.5000 0.5000 0.5000
3 O 0.0454 0.6453 0.9097
4 O 0.0903 0.9546 0.3547
5 O 0.3547 0.0903 0.9546
6 O 0.6453 0.9097 0.0454
7 O 0.9097 0.0454 0.6453
8 O 0.9546 0.3547 0.0903
9 F 0.2790 0.5887 0.2828
10 F 0.2828 0.2790 0.5887
11 F 0.4113 0.7172 0.7210
12 F 0.5887 0.2828 0.2790
13 F 0.7172 0.7210 0.4113
14 F 0.7210 0.4113 0.7172

Top 10 peaks for 2θ = 10–90°, low angle first:
2θ 21.16, intensity 100; 2θ 23.04, intensity 84; 2θ 26.39, intensity 14; 2θ 31.48, intensity 25; 2θ 38.24, intensity 62; 2θ 47.08, intensity 20; 2θ 52.15, intensity 32; 2θ 58.12, intensity 17; 2θ 58.95, intensity 16; 2θ 61.40, intensity 18